Cd2S2O7: calculated powder diffractogram (λ = 1.5418 Å (Cu Kα)), based on DFT lattice parameters and positions (GGA-PBE).

The 10 most intense peaks (10 to 90 degrees two-theta), by angle:
2θ 19.4, I 19, hkl 1 0 0; 2θ 20.9, I 14, hkl 1 1 0; 2θ 27.6, I 100, hkl 1 2 -1; 2θ 28.3, I 69, hkl 1 1 1; 2θ 31.5, I 26, hkl 0 4 0; 2θ 32.6, I 28, hkl 0 1 2; 2θ 36.2, I 18, hkl 1 3 1; 2θ 46.3, I 15, hkl 2 0 -2; 2θ 51.6, I 23, hkl 0 5 2; 2θ 57.1, I 17, hkl 2 5 0

Structure:
```
data_Cd2S2O7
_cell_length_a 4.653
_cell_length_b 11.363
_cell_length_c 5.751
_cell_angle_alpha 90.00
_cell_angle_beta 100.43
_cell_angle_gamma 90.00
_symmetry_space_group_name_H-M 'P 1'
_symmetry_Int_Tables_number 1
_symmetry_space_group_name_Hall 'P 1'
loop_
_atom_site_label
_atom_site_type_symbol
_atom_site_fract_x
_atom_site_fract_y
_atom_site_fract_z
_atom_site_occupancy
Cd1 Cd 0.131 0.143 0.351 1
Cd2 Cd 0.131 0.357 0.851 1
Cd3 Cd 0.869 0.643 0.149 1
Cd4 Cd 0.869 0.857 0.649 1
S1 S 0.331 0.615 0.683 1
S2 S 0.331 0.885 0.183 1
S3 S 0.669 0.115 0.817 1
S4 S 0.669 0.385 0.317 1
O1 O 0.084 0.688 0.535 1
O2 O 0.084 0.812 0.035 1
O3 O 0.197 0.555 0.879 1
O4 O 0.197 0.945 0.379 1
O5 O 0.448 0.204 0.690 1
O6 O 0.448 0.296 0.190 1
O7 O 0.500 0.000 0.000 1
O8 O 0.500 0.500 0.500 1
O9 O 0.552 0.704 0.810 1
O10 O 0.552 0.796 0.310 1
O11 O 0.803 0.055 0.621 1
O12 O 0.803 0.445 0.121 1
O13 O 0.916 0.188 0.965 1
O14 O 0.916 0.312 0.465 1
```